Simulated PXRD pattern
Compound: Cs3AcV2O8
Radiation: CuKα
Structure: a cell relaxed with PBE+U
Peak positions follow from Bragg's law for the DFT cell and can differ from measured ones.

Structural model:
```
Cs3AcV2O8
1.0
6.3987 0.0000 0.0000
-3.1994 5.5415 0.0000
0.0000 0.0000 8.5744
Cs Ac V O
3 1 2 8
Direct
0.0000 0.0000 0.0000
0.3333 0.6667 0.7248
0.6667 0.3333 0.2752
0.0000 0.0000 0.5000
0.3333 0.6667 0.2610
0.6667 0.3333 0.7390
0.1823 0.3646 0.3283
0.1823 0.8177 0.3283
0.3333 0.6667 0.0637
0.3646 0.1823 0.6717
0.6354 0.8177 0.3283
0.6667 0.3333 0.9363
0.8177 0.1823 0.6717
0.8177 0.6354 0.6717
```

The 6 most intense peaks (2θ from 10° to 80°), by angle:
(0 1 2), 2θ 26.28, intensity 100; (1 1 0), 2θ 27.89, intensity 85; (2 0 2), 2θ 38.69, intensity 43; (1 2 2), 2θ 48.37, intensity 36; (3 0 0), 2θ 49.34, intensity 17; (1 1 4), 2θ 51.30, intensity 27